Diffraction record for Tb2DyTm5In. The powder X-ray diffraction pattern is simulated, not measured: it uses a structure optimized by DFT (GGA-PBE) and CuKα.

Main lines, by angle (10° ≤ 2θ ≤ 90°):
2θ 27.92, 3.195 Å, intensity 14; 2θ 31.37, 2.852 Å, intensity 28; 2θ 32.92, 2.721 Å, intensity 100; 2θ 34.03, 2.634 Å, intensity 31; 2θ 34.77, 2.580 Å, intensity 16; 2θ 60.21, 1.537 Å, intensity 18

```
data_Tb2DyTm5In
_cell_length_a 10.4170
_cell_length_b 10.4170
_cell_length_c 10.3205
_cell_angle_alpha 90.00
_cell_angle_beta 90.00
_cell_angle_gamma 150.70
_space_group_name_H-M_alt 'P 1'
_space_group_IT_number 1
loop_
_space_group_symop_operation_xyz
'x,y,z'
loop_
_atom_site_label
_atom_site_type_symbol
_atom_site_fract_x
_atom_site_fract_y
_atom_site_fract_z
Tb1 Tb 0.1163 0.8837 0.5371
Tb2 Tb 0.1163 0.8837 0.9629
Tb3 Tb 0.8837 0.1163 0.0371
Tb4 Tb 0.8837 0.1163 0.4629
Dy1 Dy 0.2092 0.7908 0.2500
Dy2 Dy 0.7908 0.2092 0.7500
Tm1 Tm 0.0093 0.9907 0.2500
Tm2 Tm 0.2880 0.7120 0.5520
Tm3 Tm 0.2880 0.7120 0.9480
Tm4 Tm 0.3828 0.6172 0.2500
Tm5 Tm 0.5000 0.5000 0.0000
Tm6 Tm 0.5000 0.5000 0.5000
Tm7 Tm 0.6172 0.3828 0.7500
Tm8 Tm 0.7120 0.2880 0.0520
Tm9 Tm 0.7120 0.2880 0.4480
Tm10 Tm 0.9907 0.0093 0.7500
In1 In 0.4037 0.5963 0.7500
In2 In 0.5963 0.4037 0.2500
```